This entry pairs a crystal structure of CsCeMgSe4 with its theoretical X-ray diffraction stick pattern. Radiation: a wavelength of 1.5418 Å. Structure: a cell relaxed with PBE.

Atomic structure:
```
CsCeMgSe4
1.0
7.5386 0.0000 0.0000
0.0000 5.8199 0.0000
-2.9798 0.0000 10.0143
Cs Ce Mg Se
2 2 2 8
Direct
0.2442 0.2500 0.0384 Cs
0.7558 0.7500 0.9616 Cs
0.2613 0.2500 0.5589 Ce
0.7387 0.7500 0.4411 Ce
0.2701 0.7500 0.3311 Mg
0.7299 0.2500 0.6689 Mg
0.0121 0.5141 0.6896 Se
0.0121 0.9859 0.6896 Se
0.4400 0.7500 0.5796 Se
0.4797 0.7500 0.1845 Se
0.5203 0.2500 0.8155 Se
0.5600 0.2500 0.4204 Se
0.9879 0.0141 0.3104 Se
0.9879 0.4859 0.3104 Se
```

Peak list (10 most intense, 5 to 70 degrees two-theta, by angle)
(0 0 1), 2θ 8.83, I = 86.0
(1 1 0), 2θ 19.59, I = 91.1
(1 0 2), 2θ 24.34, I = 50.8
(2 0 -2), 2θ 25.98, I = 100.0
(1 1 2), 2θ 28.84, I = 92.6
(2 1 -2), 2θ 30.25, I = 77.9
(1 2 0), 2θ 33.19, I = 60.7
(0 2 2), 2θ 35.70, I = 51.4
(3 1 -2), 2θ 39.76, I = 76.8
(3 1 0), 2θ 40.55, I = 49.8